For Pm12Sm7Th, a structure optimized by DFT (PBE) gives the simulated powder diffractogram in this record (copper Kα).
No peak broadening, texture or thermal motion is included.

Atomic structure:
Lattice parameters (Å, degrees): 13.6077 13.6077 12.7512 90.00 90.00 120.00
Space group R-3m (No. 166, hexagonal axes)
Inequivalent atoms, fractional coordinates:
Pm1 0.0000 0.2587 0.0000 (multiplicity 18)
Pm2 0.0456 0.5228 0.1149 (multiplicity 18)
Sm1 0.0000 0.0000 0.5000 (multiplicity 3)
Sm2 0.0874 0.1749 0.7674 (multiplicity 18)
Th1 0.0000 0.0000 0.0000 (multiplicity 3)

Main lines, low angle first (2θ from 5° to 70°):
d 3.077, rel. 54, (1 0 4)
d 2.909, rel. 76, (3 1 2)
d 2.885, rel. 69, (0 3 3)
d 2.871, rel. 100, (4 0 1)
d 2.674, rel. 42, (0 4 2)
d 2.645, rel. 14, (3 2 1)
d 2.491, rel. 20, (0 1 5)
d 1.869, rel. 25, (3 0 6)
d 1.701, rel. 24, (4 4 0)
d 1.656, rel. 30, (4 3 4)
d 1.628, rel. 20, (0 7 2)
d 1.464, rel. 14, (0 8 1)